This entry pairs a crystal structure of Li3Mn2Si2O8 with its theoretical XRD peak list. Radiation: λ = 1.5418 Å (Cu Kα). Structure: DFT lattice parameters and positions (PBE+U).
No peak broadening, texture or thermal motion is included.

The 8 most intense peaks (2θ from 10° to 80°), by angle:
2θ (°), I (rel.), h k l
20.80, 90.3, 0 1 1
21.36, 74.3, 0 1 -1
22.45, 82.6, 1 0 1
22.57, 100.0, 1 0 -1
31.04, 36.7, 0 1 2
31.81, 56.3, 0 1 -2
33.02, 55.7, 0 2 0
36.72, 97.4, 2 0 0

Structural model:
```
data_Li3Mn2Si2O8
_chemical_formula_sum 'Li3 Mn2 Si2 O8'
_symmetry_space_group_name_H-M 'P 1'
_symmetry_Int_Tables_number 1
_cell_length_a 4.8961
_cell_length_b 5.4296
_cell_length_c 6.6897
_cell_angle_alpha 88.45
_cell_angle_beta 89.64
_cell_angle_gamma 88.71
loop_
_symmetry_equiv_pos_as_xyz
'x,y,z'
loop_
_atom_site_label
_atom_site_type_symbol
_atom_site_fract_x
_atom_site_fract_y
_atom_site_fract_z
_atom_site_occupancy
Li1 Li 0.0000 0.0000 0.0000 1
Li2 Li 0.0056 0.5313 0.7452 1
Li3 Li 0.4985 0.3736 0.5088 1
Mn1 Mn 0.0019 0.0110 0.4799 1
Mn2 Mn 0.5135 0.3544 0.0111 1
Si1 Si 0.4932 0.8644 0.7462 1
Si2 Si 0.9851 0.5168 0.2546 1
O1 O 0.0616 0.8067 0.2409 1
O2 O 0.0968 0.3825 0.4657 1
O3 O 0.0990 0.3705 0.0504 1
O4 O 0.1550 0.8696 0.7449 1
O5 O 0.5987 0.0102 0.5412 1
O6 O 0.6000 0.5722 0.7580 1
O7 O 0.6006 0.0160 0.9376 1
O8 O 0.6521 0.4796 0.2571 1
```